(1)
Si: computed X-ray powder pattern (Cu Kα, 1.54184 Å), based on a GGA-PBE-relaxed structure.
Lines closer than 0.1° are merged.

Principal peaks in the range 2θ from 10° to 90°, low angle first:
2θ (°)  I_rel  index
17.70  17.3  0 0 2
19.47  100.0  2 2 1
19.73  34.4  1 1 2
21.39  17.4  1 3 0
31.98  46.4  6 0 0
32.82  27.9  5 1 2
34.84  18.2  2 4 2
52.47  36.2  3 7 0
53.01  24.6  3 3 5
53.43  31.9  8 2 3

Structure:
Lattice parameters (Å, degrees): 16.812 12.858 10.023 90.00 90.00 90.00
Space group Cmcm (No. 63)
Unique sites:
Si  0.000  0.079  0.131 (multiplicity 8)
Si  0.000  0.252  0.060 (multiplicity 8)
Si  0.000  0.355  0.250 (multiplicity 4)
Si  0.071  0.372  0.750 (multiplicity 8)
Si  0.101  0.000  0.000 (multiplicity 8)
Si  0.116  0.455  0.250 (multiplicity 8)
Si  0.119  0.287  0.559 (multiplicity 16)
Si  0.176  0.125  0.627 (multiplicity 16)
Si  0.192  0.418  0.059 (multiplicity 16)

(2)
PmPu2Cu9: computed X-ray powder pattern (Cu Kα, 1.54184 Å), based on a GGA-PBE-relaxed structure.
Lines closer than 0.1° are merged.

Principal peaks in the range 2θ from 10° to 90°, low angle first:
2θ (°)  I_rel  index
10.54  21.8  0 0 3
31.95  48.3  1 0 7
34.81  67.1  1 1 0
40.54  29.7  0 2 1
41.08  100.0  1 1 6
43.13  13.4  0 0 12
60.58  15.6  2 1 7
62.38  16.3  3 0 0
66.65  27.0  0 3 6
73.42  17.6  2 2 0

Structure:
Lattice parameters (Å, degrees): 5.1587 5.1587 25.1710 90.00 90.00 120.00
Space group R-3m (No. 166, hexagonal axes)
Unique sites:
Pm  0.0000  0.0000  0.0000 (multiplicity 3)
Pu  0.0000  0.0000  0.1478 (multiplicity 6)
Cu  0.0000  0.0000  0.3317 (multiplicity 6)
Cu  0.0000  0.0000  0.5000 (multiplicity 3)
Cu  0.0038  0.5019  0.0811 (multiplicity 18)

(3)
Pr2Re3Si5: computed X-ray powder pattern (Cu Kα, 1.54184 Å), based on a GGA-PBE-relaxed structure.
Lines closer than 0.1° are merged.

Principal peaks in the range 2θ from 10° to 90°, low angle first:
2θ (°)  I_rel  index
25.53  100.0  3 1 0
28.76  33.0  3 0 1
29.91  74.6  3 1 1
33.04  53.6  1 1 2
36.42  51.9  4 2 0
37.02  77.0  4 1 1
38.75  52.3  2 2 2
43.92  33.1  4 3 1
45.43  33.6  4 0 2
46.99  48.6  3 3 2

Structure:
Lattice parameters (Å, degrees): 11.032 11.032 5.786 90.00 90.00 90.00
Space group P4/mnc (No. 128)
Unique sites:
Pr  0.077  0.236  0.000 (multiplicity 8)
Re  0.000  0.500  0.250 (multiplicity 4)
Re  0.125  0.851  0.500 (multiplicity 8)
Si  0.000  0.000  0.268 (multiplicity 4)
Si  0.023  0.317  0.500 (multiplicity 8)
Si  0.171  0.671  0.250 (multiplicity 8)